Starting from the PBE+U geometry in the Materials Project, the X-ray powder pattern of Li7Mn4CoO12 was computed for Cu Kα X-rays.
Peak positions follow from Bragg's law for the DFT cell and can differ from measured ones.

Principal peaks in the range 15° ≤ 2θ ≤ 90°, most intense first:
2θ 18.36, I 100, hkl 0 0 2; 2θ 44.12, I 57, hkl 3 1 -3; 2θ 41.91, I 33, hkl 6 0 2; 2θ 36.28, I 24, hkl 3 1 -1; 2θ 34.65, I 19, hkl 6 0 0; 2θ 62.65, I 16, hkl 3 1 5

Lattice parameters (Å, degrees): 15.692 2.876 9.764 90.00 98.28 90.00
Space group Cm (No. 8)
Asymmetric unit:
Li 0.000 0.000 0.000
Li 0.001 0.500 0.497
Li 0.169 0.500 0.991
Li 0.170 0.000 0.501
Li 0.250 0.500 0.747
Li 0.329 0.000 0.992
Li 0.332 0.500 0.503
Mn 0.088 0.000 0.750
Mn 0.248 0.000 0.246
Mn 0.412 0.000 0.745
Mn 0.419 0.500 0.247
Co 0.083 0.500 0.249
O 0.039 0.500 0.855
O 0.050 0.000 0.364
O 0.116 0.000 0.135
O 0.119 0.500 0.634
O 0.192 0.000 0.861
O 0.214 0.500 0.366
O 0.284 0.500 0.128
O 0.308 0.000 0.635
O 0.381 0.500 0.861
O 0.384 0.000 0.364
O 0.453 0.000 0.130
O 0.462 0.500 0.641

Starting from the PBE+U geometry in the Materials Project, the X-ray powder pattern of Li7Mn4CoO12 was computed for Cu Kα X-rays.
Peak positions follow from Bragg's law for the DFT cell and can differ from measured ones.

Principal peaks in the range 15° ≤ 2θ ≤ 90°, most intense first:
2θ 18.24, I 100, hkl 0 0 2; 2θ 43.61, I 59, hkl 3 1 -3; 2θ 41.52, I 34, hkl 6 0 2; 2θ 35.82, I 24, hkl 3 1 -1; 2θ 34.28, I 17, hkl 6 0 0; 2θ 62.06, I 17, hkl 3 1 5

Lattice parameters (Å, degrees): 15.866 2.914 9.836 90.00 98.40 90.00
Space group Cm (No. 8)
Asymmetric unit:
Li 0.000 0.000 0.000
Li 0.001 0.500 0.515
Li 0.083 0.000 0.764
Li 0.163 0.500 0.997
Li 0.170 0.000 0.516
Li 0.329 0.000 0.005
Li 0.334 0.500 0.512
Mn 0.083 0.500 0.259
Mn 0.249 0.000 0.256
Mn 0.416 0.500 0.260
Mn 0.418 0.000 0.758
Co 0.242 0.500 0.756
O 0.023 0.500 0.870
O 0.050 0.000 0.378
O 0.115 0.000 0.142
O 0.142 0.500 0.645
O 0.214 0.000 0.879
O 0.216 0.500 0.372
O 0.283 0.500 0.141
O 0.300 0.000 0.649
O 0.371 0.500 0.863
O 0.383 0.000 0.375
O 0.449 0.000 0.145
O 0.451 0.500 0.645

Starting from the PBE+U geometry in the Materials Project, the X-ray powder pattern of Li7Mn4CoO12 was computed for Cu Kα X-rays.
Peak positions follow from Bragg's law for the DFT cell and can differ from measured ones.

Principal peaks in the range 15° ≤ 2θ ≤ 90°, most intense first:
2θ 18.35, I 100, hkl 1 1 0; 2θ 43.90, I 55, hkl 0 2 3; 2θ 42.57, I 30, hkl 3 -1 0; 2θ 36.14, I 24, hkl -1 1 3; 2θ 62.82, I 15, hkl -3 3 3; 2θ 35.27, I 14, hkl 2 -2 0

Lattice parameters (Å, degrees): 6.708 7.758 8.705 100.75 102.72 90.49
Space group P1 (No. 1)
Asymmetric unit:
Li 0.000 0.000 0.000
Li 0.000 0.005 0.332
Li 0.015 0.008 0.678
Li 0.261 0.764 0.845
Li 0.262 0.760 0.505
Li 0.263 0.753 0.162
Li 0.383 0.133 0.924
Li 0.500 0.516 0.331
Li 0.502 0.516 0.675
Li 0.506 0.500 0.005
Li 0.759 0.257 0.503
Li 0.759 0.270 0.842
Li 0.761 0.253 0.165
Li 0.880 0.636 0.920
Mn 0.131 0.383 0.085
Mn 0.135 0.385 0.758
Mn 0.380 0.135 0.593
Mn 0.381 0.132 0.250
Mn 0.627 0.885 0.755
Mn 0.631 0.883 0.087
Mn 0.881 0.634 0.249
Mn 0.882 0.636 0.591
Co 0.133 0.387 0.419
Co 0.630 0.883 0.419
O 0.069 0.214 0.206
O 0.070 0.219 0.882
O 0.092 0.201 0.560
O 0.194 0.548 0.957
O 0.196 0.554 0.636
O 0.198 0.555 0.285
O 0.323 0.970 0.387
O 0.339 0.954 0.708
O 0.343 0.945 0.056
O 0.418 0.315 0.132
O 0.422 0.316 0.784
O 0.423 0.309 0.462
O 0.566 0.709 0.559
O 0.568 0.704 0.199
O 0.570 0.721 0.881
O 0.663 0.074 0.636
O 0.689 0.049 0.958
O 0.696 0.060 0.284
O 0.845 0.450 0.056
O 0.846 0.453 0.385
O 0.851 0.449 0.708
O 0.913 0.827 0.782
O 0.918 0.819 0.130
O 0.936 0.801 0.457

Starting from the PBE+U geometry in the Materials Project, the X-ray powder pattern of Li7Mn4CoO12 was computed for Cu Kα X-rays.
Peak positions follow from Bragg's law for the DFT cell and can differ from measured ones.

Principal peaks in the range 15° ≤ 2θ ≤ 90°, most intense first:
2θ 18.30, I 100, hkl 0 1 1; 2θ 44.32, I 55, hkl -1 1 4; 2θ 41.56, I 34, hkl 1 1 4; 2θ 34.62, I 17, hkl 1 0 3; 2θ 36.33, I 11, hkl 0 1 -5; 2θ 36.53, I 11, hkl 1 0 -3

Lattice parameters (Å, degrees): 2.969 5.086 14.469 87.90 86.62 88.64
Space group P1 (No. 1)
Asymmetric unit:
Li 0.000 0.000 0.000
Li 0.000 0.000 0.499
Li 0.002 0.671 0.338
Li 0.497 0.827 0.166
Li 0.499 0.498 0.499
Li 0.500 0.171 0.834
Li 0.996 0.327 0.661
Mn 0.495 0.842 0.660
Mn 0.500 0.497 0.002
Mn 0.503 0.158 0.338
Mn 0.991 0.662 0.832
Co 0.011 0.334 0.169
O 0.017 0.688 0.593
O 0.023 0.033 0.256
O 0.031 0.648 0.086
O 0.459 0.522 0.750
O 0.470 0.184 0.086
O 0.492 0.852 0.407
O 0.506 0.147 0.590
O 0.529 0.814 0.918
O 0.538 0.473 0.247
O 0.964 0.344 0.916
O 0.975 0.971 0.742
O 0.981 0.312 0.405

Starting from the PBE+U geometry in the Materials Project, the X-ray powder pattern of Li3MnCoO5 was computed for Cu Kα X-rays.
Peak positions follow from Bragg's law for the DFT cell and can differ from measured ones.

Principal peaks in the range 15° ≤ 2θ ≤ 90°, most intense first:
2θ 18.35, I 100, hkl 0 1 -1; 2θ 43.08, I 31, hkl 1 -1 3; 2θ 43.41, I 29, hkl 0 2 3; 2θ 44.29, I 28, hkl 1 1 -4; 2θ 35.71, I 27, hkl 0 1 4; 2θ 36.58, I 12, hkl 1 0 -3

Lattice parameters (Å, degrees): 2.902 5.122 12.134 94.28 95.29 90.44
Space group P-1 (No. 2)
Asymmetric unit:
Li 0.000 0.000 0.000
Li 0.092 0.704 0.194
Li 0.302 0.104 0.599
Li 0.500 0.500 0.000
Mn 0.409 0.815 0.807
Co 0.193 0.400 0.399
O 0.059 0.334 0.112
O 0.128 0.068 0.290
O 0.240 0.738 0.505
O 0.374 0.479 0.696
O 0.443 0.125 0.891

Starting from the PBE+U geometry in the Materials Project, the X-ray powder pattern of Li7Mn4CoO12 was computed for Cu Kα X-rays.
Peak positions follow from Bragg's law for the DFT cell and can differ from measured ones.

Principal peaks in the range 15° ≤ 2θ ≤ 90°, most intense first:
2θ 18.36, I 100, hkl 0 2 0; 2θ 44.16, I 57, hkl 1 -2 3; 2θ 41.88, I 33, hkl 0 3 6; 2θ 36.34, I 23, hkl 1 0 3; 2θ 34.64, I 19, hkl 0 1 6; 2θ 62.65, I 16, hkl 1 6 3

Lattice parameters (Å, degrees): 2.871 9.845 15.693 82.88 89.95 81.71
Space group P-1 (No. 2)
Asymmetric unit:
Li 0.123 0.254 0.456
Li 0.128 0.244 0.787
Li 0.129 0.242 0.126
Li 0.250 0.000 0.250
Li 0.370 0.758 0.373
Li 0.372 0.756 0.713
Li 0.377 0.746 0.044
Mn 0.001 0.497 0.665
Mn 0.249 0.002 0.587
Mn 0.252 0.998 0.913
Mn 0.499 0.503 0.835
Co 0.000 0.500 0.000
Co 0.500 0.500 0.500
O 0.056 0.386 0.551
O 0.058 0.384 0.888
O 0.062 0.380 0.220
O 0.194 0.112 0.673
O 0.194 0.114 0.363
O 0.198 0.106 0.020
O 0.303 0.894 0.480
O 0.306 0.886 0.137
O 0.307 0.888 0.827
O 0.428 0.614 0.950
O 0.441 0.621 0.280
O 0.442 0.616 0.612

Starting from the PBE+U geometry in the Materials Project, the X-ray powder pattern of Li7Mn2Co3O12 was computed for Cu Kα X-rays.
Peak positions follow from Bragg's law for the DFT cell and can differ from measured ones.

Principal peaks in the range 15° ≤ 2θ ≤ 90°, most intense first:
2θ 18.34, I 100, hkl 0 0 2; 2θ 40.34, I 38, hkl 1 1 -3; 2θ 44.44, I 27, hkl 1 -2 3; 2θ 45.17, I 25, hkl 0 3 2; 2θ 33.74, I 22, hkl 1 1 -1; 2θ 36.93, I 15, hkl 0 3 0

Lattice parameters (Å, degrees): 3.036 7.546 9.937 101.71 94.43 97.68
Space group P-1 (No. 2)
Asymmetric unit:
Li 0.000 0.000 0.000
Li 0.079 0.167 0.752
Li 0.250 0.498 0.246
Li 0.420 0.836 0.758
Mn 0.163 0.331 0.500
Co 0.343 0.677 0.998
Co 0.500 0.000 0.500
O 0.076 0.085 0.384
O 0.106 0.257 0.115
O 0.239 0.432 0.892
O 0.263 0.577 0.617
O 0.402 0.759 0.385
O 0.442 0.887 0.115

Starting from the PBE+U geometry in the Materials Project, the X-ray powder pattern of Li7Mn2Co3O12 was computed for Cu Kα X-rays.
Peak positions follow from Bragg's law for the DFT cell and can differ from measured ones.

Principal peaks in the range 15° ≤ 2θ ≤ 90°, most intense first:
2θ 18.31, I 100, hkl 0 1 -1; 2θ 43.76, I 56, hkl 2 0 -3; 2θ 36.17, I 39, hkl 0 2 1; 2θ 43.60, I 29, hkl 2 -1 1; 2θ 63.23, I 15, hkl 2 3 -3; 2θ 47.89, I 9, hkl 2 2 -2

Lattice parameters (Å, degrees): 5.807 6.557 6.590 96.75 115.99 102.79
Space group P1 (No. 1)
Asymmetric unit:
Li 0.000 0.000 0.000
Li 0.000 0.321 0.327
Li 0.502 0.325 0.337
Li 0.508 0.653 0.669
Li 0.509 0.003 0.001
Li 0.754 0.326 0.839
Li 0.998 0.655 0.671
Mn 0.250 0.659 0.165
Mn 0.755 0.657 0.167
Co 0.257 0.316 0.833
Co 0.271 0.004 0.516
Co 0.762 0.017 0.512
O 0.112 0.658 0.386
O 0.123 0.994 0.747
O 0.144 0.350 0.077
O 0.366 0.324 0.598
O 0.376 0.974 0.256
O 0.393 0.659 0.946
O 0.604 0.981 0.730
O 0.619 0.671 0.393
O 0.631 0.350 0.088
O 0.876 0.312 0.582
O 0.889 0.973 0.265
O 0.894 0.661 0.948

Starting from the PBE+U geometry in the Materials Project, the X-ray powder pattern of Li4Mn3CoO8 was computed for Cu Kα X-rays.
Peak positions follow from Bragg's law for the DFT cell and can differ from measured ones.

Principal peaks in the range 15° ≤ 2θ ≤ 90°, most intense first:
2θ 18.14, I 100, hkl 0 0 1; 2θ 43.84, I 49, hkl 2 2 1; 2θ 40.63, I 31, hkl 4 0 -2; 2θ 35.93, I 26, hkl 2 2 0; 2θ 33.87, I 18, hkl 4 0 -1; 2θ 61.23, I 15, hkl 6 2 -1

Lattice parameters (Å, degrees): 10.662 5.810 5.316 90.00 113.06 90.00
Space group C2/m (No. 12)
Asymmetric unit:
Li 0.000 0.249 0.000
Li 0.247 0.500 0.016
Mn 0.000 0.500 0.500
Mn 0.250 0.250 0.500
Co 0.000 0.000 0.500
O 0.116 0.258 0.738
O 0.119 0.000 0.294
O 0.142 0.500 0.273